No. 1
Ac3Mo2N6: calculated powder X-ray diffraction pattern (Cu Kα (λ = 1.5418 Å)), based on a crystal structure in Alexandria, relaxed with GGA-PBE.
Intensities are scaled so that the largest is 100.

Cell and atoms:
```
Ac3Mo2N6
1.0
-2.039 2.039 10.417
2.039 -2.039 10.417
2.039 2.039 -10.417
Ac Mo N
3 2 6
direct
0.000 0.000 0.000
0.180 0.180 0.000
0.820 0.820 0.000
0.400 0.400 0.000
0.600 0.600 0.000
0.088 0.588 0.500
0.306 0.306 0.000
0.412 0.912 0.500
0.588 0.088 0.500
0.694 0.694 0.000
0.912 0.412 0.500
```

Largest 10 diffraction maxima, by angle, 10° ≤ 2θ ≤ 80°:
| 2θ (°) | I (rel.) |
| --- | --- |
| 22.21 | 22 |
| 25.66 | 11 |
| 30.68 | 100 |
| 31.01 | 60 |
| 40.67 | 22 |
| 44.43 | 28 |
| 53.33 | 9 |
| 54.32 | 11 |
| 54.96 | 40 |
| 73.42 | 11 |


No. 2
Ac4Mo3N10: calculated powder X-ray diffraction pattern (Cu Kα (λ = 1.5418 Å)), based on a crystal structure in Alexandria, relaxed with GGA-PBE.
Intensities are scaled so that the largest is 100.

Cell and atoms:
```
Ac4Mo3N10
1.0
-2.030 2.030 14.733
2.030 -2.030 14.733
2.030 2.030 -14.733
Ac Mo N
4 3 10
direct
0.068 0.068 0.000
0.201 0.201 0.000
0.799 0.799 0.000
0.932 0.932 0.000
0.360 0.360 0.000
0.500 0.500 0.000
0.640 0.640 0.000
0.000 0.500 0.500
0.138 0.638 0.500
0.291 0.291 0.000
0.362 0.862 0.500
0.431 0.431 0.000
0.500 0.000 0.500
0.569 0.569 0.000
0.638 0.138 0.500
0.709 0.709 0.000
0.862 0.362 0.500
```

Largest 10 diffraction maxima, by angle, 10° ≤ 2θ ≤ 80°:
| 2θ (°) | I (rel.) |
| --- | --- |
| 22.10 | 15 |
| 24.16 | 10 |
| 30.59 | 100 |
| 31.16 | 58 |
| 39.81 | 18 |
| 44.64 | 28 |
| 54.02 | 14 |
| 55.09 | 40 |
| 63.69 | 11 |
| 73.81 | 10 |


No. 3
Ac2PrMo2N6: calculated powder X-ray diffraction pattern (Cu Kα (λ = 1.5418 Å)), based on a crystal structure in Alexandria, relaxed with GGA-PBE.
Intensities are scaled so that the largest is 100.

Cell and atoms:
```
Ac2PrMo2N6
1.0
2.971 1.715 6.452
-2.971 1.715 6.452
0.000 -3.431 6.452
Ac Pr Mo N
2 1 2 6
direct
0.205 0.205 0.205
0.795 0.795 0.795
0.000 0.000 0.000
0.402 0.402 0.402
0.598 0.598 0.598
0.232 0.738 0.738
0.262 0.262 0.768
0.262 0.768 0.262
0.738 0.232 0.738
0.738 0.738 0.232
0.768 0.262 0.262
```

Largest 10 diffraction maxima, by angle, 10° ≤ 2θ ≤ 80°:
| 2θ (°) | I (rel.) |
| --- | --- |
| 28.86 | 100 |
| 30.08 | 88 |
| 42.17 | 41 |
| 50.37 | 22 |
| 52.66 | 38 |
| 53.41 | 18 |
| 59.79 | 12 |
| 62.52 | 14 |
| 68.37 | 18 |
| 70.29 | 16 |


No. 4
Ac2ReMoN6: calculated powder X-ray diffraction pattern (Cu Kα (λ = 1.5418 Å)), based on a crystal structure in Alexandria, relaxed with GGA-PBE.
Intensities are scaled so that the largest is 100.

Cell and atoms:
```
Ac2ReMoN6
1.0
5.715 0.000 0.000
0.000 5.715 0.000
0.000 0.000 4.044
Ac Re Mo N
2 1 1 6
direct
0.000 0.500 0.000
0.500 0.000 0.000
0.000 0.000 0.474
0.500 0.500 0.522
0.000 0.000 0.003
0.247 0.247 0.502
0.247 0.753 0.502
0.500 0.500 0.001
0.753 0.247 0.502
0.753 0.753 0.502
```

Largest 10 diffraction maxima, by angle, 10° ≤ 2θ ≤ 80°:
| 2θ (°) | I (rel.) |
| --- | --- |
| 15.50 | 3 |
| 21.99 | 4 |
| 27.01 | 2 |
| 31.29 | 100 |
| 38.58 | 5 |
| 44.84 | 25 |
| 50.48 | 2 |
| 55.70 | 40 |
| 65.29 | 16 |
| 74.18 | 17 |